Starting from a DFT-relaxed cell (GGA+U, the Materials Project), the powder XRD pattern of Li9Mn7O16 was computed for Cu Kα, 1.54184 Å.

Peak list (10 most intense, 5 to 70 degrees two-theta, in order of rising 2θ)
| 2theta | I/Imax |
| --- | --- |
| 18.3 | 1000 |
| 33.7 | 186 |
| 36.2 | 232 |
| 40.6 | 354 |
| 44.2 | 554 |
| 46.9 | 99 |
| 58.3 | 93 |
| 61.2 | 171 |
| 62.0 | 163 |
| 65.0 | 74 |

Structure:
```
data_Li9Mn7O16
_cell_length_a 9.917
_cell_length_b 9.917
_cell_length_c 10.708
_cell_angle_alpha 98.70
_cell_angle_beta 98.70
_cell_angle_gamma 16.65
_symmetry_space_group_name_H-M 'P 1'
_symmetry_Int_Tables_number 1
loop_
_symmetry_equiv_pos_as_xyz
'x,y,z'
loop_
_atom_site_label
_atom_site_type_symbol
_atom_site_fract_x
_atom_site_fract_y
_atom_site_fract_z
Li1 Li 0.000 0.000 0.000
Li2 Li 0.122 0.122 0.183
Li3 Li 0.124 0.124 0.689
Li4 Li 0.374 0.374 0.565
Li5 Li 0.377 0.377 0.060
Li6 Li 0.623 0.623 0.940
Li7 Li 0.626 0.626 0.435
Li8 Li 0.876 0.876 0.311
Li9 Li 0.878 0.878 0.817
Mn1 Mn 0.000 0.000 0.500
Mn2 Mn 0.250 0.250 0.875
Mn3 Mn 0.251 0.251 0.375
Mn4 Mn 0.497 0.497 0.762
Mn5 Mn 0.503 0.503 0.238
Mn6 Mn 0.749 0.749 0.625
Mn7 Mn 0.750 0.750 0.125
O1 O 0.056 0.056 0.834
O2 O 0.057 0.057 0.332
O3 O 0.191 0.191 0.042
O4 O 0.191 0.191 0.542
O5 O 0.307 0.307 0.707
O6 O 0.308 0.308 0.207
O7 O 0.444 0.444 0.888
O8 O 0.446 0.446 0.408
O9 O 0.554 0.554 0.592
O10 O 0.556 0.556 0.112
O11 O 0.692 0.692 0.793
O12 O 0.693 0.693 0.293
O13 O 0.809 0.809 0.458
O14 O 0.809 0.809 0.958
O15 O 0.943 0.943 0.668
O16 O 0.944 0.944 0.166
```

***

Starting from a DFT-relaxed cell (GGA+U, the Materials Project), the powder XRD pattern of Nd2NiO4 was computed for Cu Kα, 1.54184 Å.

Peak list (10 most intense, 5 to 70 degrees two-theta, in order of rising 2θ)
| 2theta | I/Imax |
| --- | --- |
| 24.1 | 319 |
| 29.0 | 147 |
| 31.8 | 1000 |
| 32.8 | 779 |
| 43.5 | 263 |
| 44.3 | 341 |
| 47.0 | 386 |
| 57.9 | 374 |
| 66.0 | 142 |
| 68.7 | 116 |

Structure:
```
data_Nd2NiO4
_cell_length_a 6.741
_cell_length_b 6.741
_cell_length_c 6.741
_cell_angle_alpha 146.67
_cell_angle_beta 146.67
_cell_angle_gamma 47.85
_symmetry_space_group_name_H-M 'P 1'
_symmetry_Int_Tables_number 1
loop_
_symmetry_equiv_pos_as_xyz
'x,y,z'
loop_
_atom_site_label
_atom_site_type_symbol
_atom_site_fract_x
_atom_site_fract_y
_atom_site_fract_z
Nd1 Nd 0.136 0.136 0.000
Nd2 Nd 0.864 0.864 0.000
Ni1 Ni 0.500 0.500 0.000
O1 O 0.000 0.500 0.500
O2 O 0.321 0.321 0.000
O3 O 0.500 0.000 0.500
O4 O 0.679 0.679 0.000
```

***

Starting from a DFT-relaxed cell (GGA+U, the Materials Project), the powder XRD pattern of Li3MnCo2O6 was computed for Cu Kα, 1.54184 Å.

Peak list (10 most intense, 5 to 70 degrees two-theta, in order of rising 2θ)
| 2theta | I/Imax |
| --- | --- |
| 18.3 | 1000 |
| 35.3 | 444 |
| 37.0 | 144 |
| 37.2 | 51 |
| 43.0 | 805 |
| 47.1 | 150 |
| 57.0 | 144 |
| 62.4 | 227 |
| 62.6 | 214 |
| 65.6 | 151 |

Structure:
```
data_Li3MnCo2O6
_cell_length_a 2.978
_cell_length_b 2.978
_cell_length_c 14.512
_cell_angle_alpha 90.00
_cell_angle_beta 90.00
_cell_angle_gamma 120.00
_symmetry_space_group_name_H-M 'P 1'
_symmetry_Int_Tables_number 1
loop_
_symmetry_equiv_pos_as_xyz
'x,y,z'
loop_
_atom_site_label
_atom_site_type_symbol
_atom_site_fract_x
_atom_site_fract_y
_atom_site_fract_z
Li1 Li 0.000 0.000 0.000
Li2 Li 0.333 0.667 0.328
Li3 Li 0.667 0.333 0.672
Mn1 Mn 0.000 0.000 0.500
Co1 Co 0.333 0.667 0.834
Co2 Co 0.667 0.333 0.166
O1 O 0.000 0.000 0.242
O2 O 0.000 0.000 0.758
O3 O 0.333 0.667 0.092
O4 O 0.333 0.667 0.577
O5 O 0.667 0.333 0.423
O6 O 0.667 0.333 0.908
```

***

Starting from a DFT-relaxed cell (GGA+U, the Materials Project), the powder XRD pattern of ZrW2ClO10 was computed for Cu Kα, 1.54184 Å.

Peak list (10 most intense, 5 to 70 degrees two-theta, in order of rising 2θ)
| 2theta | I/Imax |
| --- | --- |
| 14.9 | 185 |
| 15.1 | 267 |
| 20.7 | 1000 |
| 23.7 | 365 |
| 23.9 | 387 |
| 27.8 | 296 |
| 27.9 | 243 |
| 28.6 | 383 |
| 35.3 | 300 |
| 46.3 | 290 |

Structure:
```
data_ZrW2ClO10
_cell_length_a 10.427
_cell_length_b 10.427
_cell_length_c 10.427
_cell_angle_alpha 111.34
_cell_angle_beta 110.69
_cell_angle_gamma 106.43
_symmetry_space_group_name_H-M 'P 1'
_symmetry_Int_Tables_number 1
loop_
_symmetry_equiv_pos_as_xyz
'x,y,z'
loop_
_atom_site_label
_atom_site_type_symbol
_atom_site_fract_x
_atom_site_fract_y
_atom_site_fract_z
Zr1 Zr 0.000 0.000 0.000
Zr2 Zr 0.247 0.747 0.500
Zr3 Zr 0.500 0.500 0.000
Zr4 Zr 0.747 0.247 0.500
W1 W 0.180 0.526 0.682
W2 W 0.238 0.101 0.799
W3 W 0.302 0.439 0.201
W4 W 0.344 0.026 0.347
W5 W 0.680 0.997 0.653
W6 W 0.738 0.939 0.137
W7 W 0.802 0.601 0.863
W8 W 0.844 0.497 0.318
Cl1 Cl 0.048 0.415 0.941
Cl2 Cl 0.474 0.107 0.059
Cl3 Cl 0.548 0.607 0.633
Cl4 Cl 0.974 0.915 0.367
O1 O 0.000 0.691 0.341
O2 O 0.069 0.569 0.500
O3 O 0.109 0.122 0.651
O4 O 0.123 0.021 0.879
O5 O 0.143 0.244 0.121
O6 O 0.172 0.981 0.166
O7 O 0.190 0.691 0.830
O8 O 0.215 0.398 0.494
O9 O 0.243 0.925 0.676
O10 O 0.249 0.567 0.324
O11 O 0.264 0.864 0.375
O12 O 0.315 0.481 0.809
O13 O 0.322 0.322 0.000
O14 O 0.350 0.659 0.659
O15 O 0.361 0.191 0.501
O16 O 0.389 0.583 0.139
O17 O 0.403 0.898 0.182
O18 O 0.443 0.250 0.861
O19 O 0.471 0.458 0.349
O20 O 0.489 0.888 0.625
O21 O 0.500 0.159 0.309
O22 O 0.569 0.069 0.500
O23 O 0.609 0.958 0.987
O24 O 0.623 0.744 0.102
O25 O 0.643 0.521 0.898
O26 O 0.672 0.506 0.191
O27 O 0.690 0.860 0.499
O28 O 0.715 0.221 0.818
O29 O 0.743 0.067 0.318
O30 O 0.749 0.425 0.682
O31 O 0.764 0.388 0.400
O32 O 0.815 0.006 0.834
O33 O 0.822 0.822 0.000
O34 O 0.850 0.191 0.691
O35 O 0.861 0.360 0.170
O36 O 0.889 0.750 0.807
O37 O 0.903 0.721 0.506
O38 O 0.943 0.083 0.193
O39 O 0.971 0.622 0.013
O40 O 0.989 0.364 0.600
```

***

Starting from a DFT-relaxed cell (GGA+U, the Materials Project), the powder XRD pattern of V2Zn3O8 was computed for Cu Kα, 1.54184 Å.

Peak list (10 most intense, 5 to 70 degrees two-theta, in order of rising 2θ)
| 2theta | I/Imax |
| --- | --- |
| 18.4 | 241 |
| 26.1 | 206 |
| 26.8 | 263 |
| 29.0 | 534 |
| 30.4 | 197 |
| 34.5 | 1000 |
| 35.6 | 455 |
| 36.1 | 287 |
| 42.5 | 519 |
| 62.1 | 573 |

Structure:
```
data_V2Zn3O8
_cell_length_a 6.642
_cell_length_b 6.642
_cell_length_c 8.381
_cell_angle_alpha 90.00
_cell_angle_beta 90.00
_cell_angle_gamma 124.55
_symmetry_space_group_name_H-M 'P 1'
_symmetry_Int_Tables_number 1
loop_
_symmetry_equiv_pos_as_xyz
'x,y,z'
loop_
_atom_site_label
_atom_site_type_symbol
_atom_site_fract_x
_atom_site_fract_y
_atom_site_fract_z
V1 V 0.122 0.878 0.880
V2 V 0.378 0.622 0.380
V3 V 0.622 0.378 0.620
V4 V 0.878 0.122 0.120
Zn1 Zn 0.000 0.000 0.500
Zn2 Zn 0.113 0.387 0.750
Zn3 Zn 0.387 0.113 0.250
Zn4 Zn 0.500 0.500 0.000
Zn5 Zn 0.613 0.887 0.750
Zn6 Zn 0.887 0.613 0.250
O1 O 0.000 0.000 0.256
O2 O 0.000 0.000 0.744
O3 O 0.110 0.345 0.000
O4 O 0.155 0.390 0.500
O5 O 0.250 0.750 0.274
O6 O 0.250 0.750 0.774
O7 O 0.345 0.110 0.000
O8 O 0.390 0.155 0.500
O9 O 0.500 0.500 0.244
O10 O 0.500 0.500 0.756
O11 O 0.610 0.845 0.500
O12 O 0.655 0.890 0.000
O13 O 0.750 0.250 0.226
O14 O 0.750 0.250 0.726
O15 O 0.845 0.610 0.500
O16 O 0.890 0.655 0.000
```

***

Starting from a DFT-relaxed cell (GGA+U, the Materials Project), the powder XRD pattern of Li5Cr2Ni5O12 was computed for Cu Kα, 1.54184 Å.

Peak list (10 most intense, 5 to 70 degrees two-theta, in order of rising 2θ)
| 2theta | I/Imax |
| --- | --- |
| 18.5 | 369 |
| 19.9 | 219 |
| 21.1 | 226 |
| 24.0 | 277 |
| 37.5 | 395 |
| 37.7 | 188 |
| 43.2 | 1000 |
| 44.4 | 455 |
| 63.5 | 261 |
| 63.9 | 259 |

Structure:
```
data_Li5Cr2Ni5O12
_cell_length_a 5.116
_cell_length_b 5.116
_cell_length_c 9.771
_cell_angle_alpha 95.35
_cell_angle_beta 95.35
_cell_angle_gamma 121.29
_symmetry_space_group_name_H-M 'P 1'
_symmetry_Int_Tables_number 1
loop_
_symmetry_equiv_pos_as_xyz
'x,y,z'
loop_
_atom_site_label
_atom_site_type_symbol
_atom_site_fract_x
_atom_site_fract_y
_atom_site_fract_z
Li1 Li 0.000 0.000 0.000
Li2 Li 0.252 0.248 0.752
Li3 Li 0.409 0.089 0.247
Li4 Li 0.752 0.748 0.248
Li5 Li 0.911 0.591 0.753
Cr1 Cr 0.338 0.662 0.000
Cr2 Cr 0.830 0.170 0.500
Ni1 Ni 0.078 0.411 0.247
Ni2 Ni 0.163 0.837 0.500
Ni3 Ni 0.500 0.500 0.500
Ni4 Ni 0.589 0.922 0.753
Ni5 Ni 0.665 0.335 0.000
O1 O 0.032 0.679 0.115
O2 O 0.105 0.131 0.380
O3 O 0.194 0.532 0.616
O4 O 0.321 0.968 0.885
O5 O 0.375 0.397 0.117
O6 O 0.468 0.806 0.384
O7 O 0.558 0.206 0.619
O8 O 0.603 0.625 0.883
O9 O 0.676 0.032 0.116
O10 O 0.794 0.442 0.381
O11 O 0.869 0.895 0.620
O12 O 0.968 0.324 0.884
```

***

Starting from a DFT-relaxed cell (GGA+U, the Materials Project), the powder XRD pattern of Y4V13Si2Sb2O28 was computed for Cu Kα, 1.54184 Å.

Peak list (10 most intense, 5 to 70 degrees two-theta, in order of rising 2θ)
| 2theta | I/Imax |
| --- | --- |
| 29.9 | 1000 |
| 30.1 | 632 |
| 30.6 | 295 |
| 32.6 | 809 |
| 33.7 | 433 |
| 34.0 | 358 |
| 34.8 | 455 |
| 53.6 | 516 |
| 56.0 | 203 |
| 61.5 | 205 |

Structure:
```
data_Y4V13Si2Sb2O28
_cell_length_a 5.907
_cell_length_b 9.097
_cell_length_c 12.416
_cell_angle_alpha 87.53
_cell_angle_beta 76.27
_cell_angle_gamma 79.99
_symmetry_space_group_name_H-M 'P 1'
_symmetry_Int_Tables_number 1
loop_
_symmetry_equiv_pos_as_xyz
'x,y,z'
loop_
_atom_site_label
_atom_site_type_symbol
_atom_site_fract_x
_atom_site_fract_y
_atom_site_fract_z
Y1 Y 0.000 0.000 0.000
Y2 Y 0.007 0.682 0.823
Y3 Y 0.418 0.681 0.999
Y4 Y 0.587 0.001 0.825
V1 V 0.074 0.343 0.264
V2 V 0.145 0.685 0.535
V3 V 0.145 0.984 0.677
V4 V 0.215 0.341 0.988
V5 V 0.269 0.683 0.293
V6 V 0.410 0.983 0.148
V7 V 0.504 0.341 0.412
V8 V 0.600 0.696 0.676
V9 V 0.739 0.998 0.532
V10 V 0.791 0.341 0.835
V11 V 0.859 0.998 0.292
V12 V 0.864 0.698 0.148
V13 V 0.932 0.340 0.557
Si1 Si 0.269 0.031 0.412
Si2 Si 0.737 0.650 0.412
Sb1 Sb 0.359 0.340 0.694
Sb2 Sb 0.638 0.341 0.129
O1 O 0.044 0.217 0.686
O2 O 0.045 0.732 0.991
O3 O 0.100 0.446 0.837
O4 O 0.103 0.950 0.519
O5 O 0.193 0.213 0.413
O6 O 0.198 0.458 0.540
O7 O 0.210 0.952 0.305
O8 O 0.256 0.730 0.672
O9 O 0.326 0.457 0.284
O10 O 0.332 0.216 0.135
O11 O 0.381 0.948 0.992
O12 O 0.457 0.691 0.412
O13 O 0.480 0.236 0.838
O14 O 0.501 0.955 0.670
O15 O 0.506 0.729 0.154
O16 O 0.526 0.446 0.984
O17 O 0.550 0.989 0.412
O18 O 0.624 0.733 0.830
O19 O 0.682 0.223 0.540
O20 O 0.685 0.468 0.686
O21 O 0.759 0.952 0.154
O22 O 0.792 0.730 0.521
O23 O 0.810 0.223 0.283
O24 O 0.815 0.468 0.411
O25 O 0.905 0.731 0.306
O26 O 0.906 0.235 0.985
O27 O 0.960 0.949 0.832
O28 O 0.971 0.466 0.137
```

***

Starting from a DFT-relaxed cell (GGA+U, the Materials Project), the powder XRD pattern of Li3VO4 was computed for Cu Kα, 1.54184 Å.

Peak list (10 most intense, 5 to 70 degrees two-theta, in order of rising 2θ)
| 2theta | I/Imax |
| --- | --- |
| 16.1 | 284 |
| 21.3 | 902 |
| 22.5 | 1000 |
| 23.9 | 615 |
| 32.4 | 561 |
| 32.5 | 299 |
| 35.6 | 463 |
| 37.1 | 305 |
| 57.9 | 307 |
| 65.0 | 367 |

Structure:
```
data_Li3VO4
_cell_length_a 6.398
_cell_length_b 5.514
_cell_length_c 5.039
_cell_angle_alpha 90.00
_cell_angle_beta 90.00
_cell_angle_gamma 90.00
_symmetry_space_group_name_H-M 'P 1'
_symmetry_Int_Tables_number 1
loop_
_symmetry_equiv_pos_as_xyz
'x,y,z'
loop_
_atom_site_label
_atom_site_type_symbol
_atom_site_fract_x
_atom_site_fract_y
_atom_site_fract_z
Li1 Li 0.000 0.166 0.000
Li2 Li 0.248 0.332 0.499
Li3 Li 0.252 0.668 0.999
Li4 Li 0.500 0.834 0.500
Li5 Li 0.748 0.668 0.999
Li6 Li 0.752 0.332 0.499
V1 V 0.000 0.830 0.492
V2 V 0.500 0.170 0.992
O1 O 0.000 0.131 0.600
O2 O 0.000 0.827 0.146
O3 O 0.225 0.680 0.602
O4 O 0.275 0.320 0.102
O5 O 0.500 0.173 0.646
O6 O 0.500 0.869 0.100
O7 O 0.725 0.320 0.102
O8 O 0.775 0.680 0.602
```